# La5TmGe4
Theoretical XRD peak list, Cu Kα (weighted mean of Kα1 and Kα2). Input: a DFT-relaxed cell (PBE, Alexandria).
Kinematic intensities with the Lorentz-polarization factor, no thermal factor.

Top 6 peaks for 5 to 70 degrees two-theta, low angle first:
2θ 23.9, I = 59, (3 1 0); 2θ 33.3, I = 55, (6 0 0); 2θ 34.6, I = 100, (3 1 -2); 2θ 34.9, I = 50, (0 2 0); 2θ 35.3, I = 94, (3 1 2); 2θ 49.0, I = 37, (6 2 0)

Structural model:
Cell: 16.156 5.140 7.101 Å, 90.00 91.61 90.00°
Space group C2/m (No. 12)
One atom of each set of equivalent atoms:
La  0.000  0.000  0.000 [2 per cell]
La  0.164  0.500  0.002 [4 per cell]
La  0.166  0.500  0.508 [4 per cell]
Tm  0.000  0.000  0.500 [2 per cell]
Ge  0.008  0.500  0.266 [4 per cell]
Ge  0.173  0.000  0.749 [4 per cell]


# La3TmGe6
Theoretical XRD peak list, Cu Kα (weighted mean of Kα1 and Kα2). Input: a DFT-relaxed cell (PBE, Alexandria).
Kinematic intensities with the Lorentz-polarization factor, no thermal factor.

Top 6 peaks for 5 to 70 degrees two-theta, low angle first:
2θ 27.3, I = 39, (1 1 3); 2θ 31.8, I = 93, (1 3 1); 2θ 34.6, I = 100, (3 1 2); 2θ 35.3, I = 71, (0 2 4); 2θ 46.2, I = 26, (4 1 3); 2θ 51.2, I = 36, (1 5 2)

Structural model:
Cell: 12.0547 12.0547 11.6564 Å, 90.00 90.00 120.00°
Space group R-3c (No. 167, hexagonal axes)
One atom of each set of equivalent atoms:
La  0.0000  0.4336  0.2500 [18 per cell]
Tm  0.0000  0.0000  0.0000 [6 per cell]
Ge  0.0708  0.2168  0.3397 [36 per cell]


# La3Y3Ge4
Theoretical XRD peak list, Cu Kα (weighted mean of Kα1 and Kα2). Input: a DFT-relaxed cell (PBE, Alexandria).
Kinematic intensities with the Lorentz-polarization factor, no thermal factor.

Top 6 peaks for 5 to 70 degrees two-theta, low angle first:
2θ 31.0, I = 95, (1 2 2); 2θ 32.6, I = 100, (1 3 1); 2θ 33.4, I = 86, (1 1 3); 2θ 34.9, I = 57, (0 4 2); 2θ 36.0, I = 54, (0 2 4); 2θ 43.5, I = 39, (2 0 0)

Structural model:
Cell: 4.161 11.613 11.035 Å, 90.00 90.00 90.00°
Space group Amm2 (No. 38)
One atom of each set of equivalent atoms:
La  0.000  0.000  0.000 [2 per cell]
La  0.500  0.246  0.079 [4 per cell]
Y  0.000  0.000  0.661 [2 per cell]
Y  0.000  0.167  0.334 [4 per cell]
Ge  0.500  0.000  0.220 [2 per cell]
Ge  0.500  0.000  0.457 [2 per cell]
Ge  0.500  0.134  0.825 [4 per cell]


# LaYGe
Theoretical XRD peak list, Cu Kα (weighted mean of Kα1 and Kα2). Input: a DFT-relaxed cell (PBE, Alexandria).
Kinematic intensities with the Lorentz-polarization factor, no thermal factor.

Top 6 peaks for 5 to 70 degrees two-theta, low angle first:
2θ 28.9, I = 42, (1 1 1); 2θ 30.1, I = 100, (1 1 -2); 2θ 30.9, I = 32, (4 0 -2); 2θ 31.2, I = 78, (3 1 -1); 2θ 35.3, I = 46, (3 1 0); 2θ 42.0, I = 40, (0 2 0)

Structural model:
Cell: 11.654 4.302 8.483 Å, 90.00 125.87 90.00°
Space group Cm (No. 8)
One atom of each set of equivalent atoms:
La  0.000  0.000  0.000 [2 per cell]
La  0.248  0.500  0.428 [2 per cell]
Y  0.158  0.000  0.716 [2 per cell]
Y  0.402  0.000  0.284 [2 per cell]
Ge  0.217  0.500  0.013 [2 per cell]
Ge  0.458  0.000  0.694 [2 per cell]